No. 1
For MgNp3, a GGA-PBE-relaxed structure gives the simulated X-ray diffraction stick pattern in this record (Cu Kα).
Kinematic intensities with the Lorentz-polarization factor, no thermal factor.

Atomic structure:
a b c (Å): 4.587 4.587 4.587
angles (deg): 90.00 90.00 90.00
Element x y z (fractional)
Mg  0.000  0.000  0.000
Np  0.000  0.500  0.500
Np  0.500  0.000  0.500
Np  0.500  0.500  0.000

The 8 most intense peaks (2θ = 10–80°), low angle first:
19.4°, 4.587 Å, rel. 24; 27.5°, 3.243 Å, rel. 21; 33.8°, 2.648 Å, rel. 100; 39.3°, 2.293 Å, rel. 50; 44.2°, 2.051 Å, rel. 12; 56.8°, 1.622 Å, rel. 35; 67.8°, 1.383 Å, rel. 42; 71.2°, 1.324 Å, rel. 12

=====

No. 2
For Nd5ErS8, a GGA-PBE-relaxed structure gives the simulated X-ray diffraction stick pattern in this record (Cu Kα).
Kinematic intensities with the Lorentz-polarization factor, no thermal factor.

Atomic structure:
a b c (Å): 7.399 7.399 7.399
angles (deg): 109.70 109.70 109.01
Element x y z (fractional)
Nd  0.000  0.000  0.000
Nd  0.124  0.251  0.623
Nd  0.499  0.876  0.127
Nd  0.628  0.501  0.377
Nd  0.749  0.372  0.873
Er  0.250  0.750  0.500
S  0.029  0.625  0.749
S  0.227  0.482  0.112
S  0.370  0.115  0.888
S  0.375  0.124  0.403
S  0.518  0.630  0.745
S  0.720  0.971  0.597
S  0.876  0.280  0.251
S  0.885  0.773  0.255

The 8 most intense peaks (2θ = 10–80°), low angle first:
25.5°, 3.498 Å, rel. 51; 25.6°, 3.483 Å, rel. 100; 33.0°, 2.715 Å, rel. 47; 33.2°, 2.695 Å, rel. 91; 39.4°, 2.289 Å, rel. 28; 39.5°, 2.280 Å, rel. 57; 47.7°, 1.906 Å, rel. 39; 50.0°, 1.823 Å, rel. 26

=====

No. 3
For K2NaTlCl6, a GGA-PBE-relaxed structure gives the simulated X-ray diffraction stick pattern in this record (Cu Kα).
Kinematic intensities with the Lorentz-polarization factor, no thermal factor.

Atomic structure:
a b c (Å): 7.556 7.556 7.556
angles (deg): 60.00 60.00 60.00
Element x y z (fractional)
K  0.250  0.250  0.250
K  0.750  0.750  0.750
Na  0.000  0.000  0.000
Tl  0.500  0.500  0.500
Cl  0.256  0.256  0.744
Cl  0.256  0.744  0.256
Cl  0.256  0.744  0.744
Cl  0.744  0.256  0.256
Cl  0.744  0.256  0.744
Cl  0.744  0.744  0.256

The 8 most intense peaks (2θ = 10–80°), low angle first:
14.4°, 6.170 Å, rel. 100; 16.6°, 5.343 Å, rel. 77; 23.5°, 3.778 Å, rel. 79; 27.7°, 3.222 Å, rel. 58; 33.5°, 2.671 Å, rel. 81; 37.6°, 2.389 Å, rel. 40; 41.4°, 2.181 Å, rel. 37; 48.2°, 1.889 Å, rel. 54

=====

No. 4
For HPbIO, a GGA-PBE-relaxed structure gives the simulated X-ray diffraction stick pattern in this record (Cu Kα).
Kinematic intensities with the Lorentz-polarization factor, no thermal factor.

Atomic structure:
a b c (Å): 7.945 4.260 10.643
angles (deg): 90.00 90.00 90.00
Element x y z (fractional)
H  0.189  0.250  0.109
H  0.311  0.750  0.609
H  0.689  0.250  0.391
H  0.811  0.750  0.891
Pb  0.182  0.750  0.919
Pb  0.318  0.250  0.419
Pb  0.682  0.750  0.581
Pb  0.818  0.250  0.081
I  0.047  0.250  0.679
I  0.453  0.750  0.179
I  0.547  0.250  0.821
I  0.953  0.750  0.321
O  0.117  0.250  0.035
O  0.383  0.750  0.535
O  0.617  0.250  0.465
O  0.883  0.750  0.965

The 8 most intense peaks (2θ = 10–80°), low angle first:
20.1°, 4.421 Å, rel. 46; 23.9°, 3.722 Å, rel. 38; 25.2°, 3.540 Å, rel. 100; 29.1°, 3.068 Å, rel. 76; 31.9°, 2.803 Å, rel. 51; 32.9°, 2.726 Å, rel. 57; 34.9°, 2.570 Å, rel. 37; 53.3°, 1.718 Å, rel. 33

=====

No. 5
For Er2CuOs, a GGA-PBE-relaxed structure gives the simulated X-ray diffraction stick pattern in this record (Cu Kα).
Kinematic intensities with the Lorentz-polarization factor, no thermal factor.

Atomic structure:
a b c (Å): 4.804 4.804 4.804
angles (deg): 60.00 60.00 60.00
Element x y z (fractional)
Er  0.250  0.250  0.250
Er  0.750  0.750  0.750
Cu  0.000  0.000  0.000
Os  0.500  0.500  0.500

The 8 most intense peaks (2θ = 10–80°), low angle first:
22.7°, 3.922 Å, rel. 9; 26.2°, 3.397 Å, rel. 2; 37.4°, 2.402 Å, rel. 100; 44.2°, 2.048 Å, rel. 5; 54.0°, 1.698 Å, rel. 17; 59.3°, 1.559 Å, rel. 2; 67.5°, 1.387 Å, rel. 35; 79.9°, 1.201 Å, rel. 11

=====

No. 6
For Bi, a GGA-PBE-relaxed structure gives the simulated X-ray diffraction stick pattern in this record (Cu Kα).
Kinematic intensities with the Lorentz-polarization factor, no thermal factor.

Atomic structure:
a b c (Å): 3.278 3.278 3.278
angles (deg): 90.00 90.00 90.00
Element x y z (fractional)
Bi  0.000  0.000  0.000

The 6 most intense peaks (2θ = 10–80°), low angle first:
27.2°, 3.278 Å, rel. 100; 38.9°, 2.318 Å, rel. 80; 48.1°, 1.892 Å, rel. 29; 56.1°, 1.639 Å, rel. 14; 63.5°, 1.466 Å, rel. 39; 70.4°, 1.338 Å, rel. 29

=====

Copy entry 6 word for word.
For Bi, a GGA-PBE-relaxed structure gives the simulated X-ray diffraction stick pattern in this record (Cu Kα).
Kinematic intensities with the Lorentz-polarization factor, no thermal factor.

Atomic structure:
a b c (Å): 3.278 3.278 3.278
angles (deg): 90.00 90.00 90.00
Element x y z (fractional)
Bi  0.000  0.000  0.000

The 6 most intense peaks (2θ = 10–80°), low angle first:
27.2°, 3.278 Å, rel. 100; 38.9°, 2.318 Å, rel. 80; 48.1°, 1.892 Å, rel. 29; 56.1°, 1.639 Å, rel. 14; 63.5°, 1.466 Å, rel. 39; 70.4°, 1.338 Å, rel. 29

=====

Copy entry 1 word for word.
For MgNp3, a GGA-PBE-relaxed structure gives the simulated X-ray diffraction stick pattern in this record (Cu Kα).
Kinematic intensities with the Lorentz-polarization factor, no thermal factor.

Atomic structure:
a b c (Å): 4.587 4.587 4.587
angles (deg): 90.00 90.00 90.00
Element x y z (fractional)
Mg  0.000  0.000  0.000
Np  0.000  0.500  0.500
Np  0.500  0.000  0.500
Np  0.500  0.500  0.000

The 8 most intense peaks (2θ = 10–80°), low angle first:
19.4°, 4.587 Å, rel. 24; 27.5°, 3.243 Å, rel. 21; 33.8°, 2.648 Å, rel. 100; 39.3°, 2.293 Å, rel. 50; 44.2°, 2.051 Å, rel. 12; 56.8°, 1.622 Å, rel. 35; 67.8°, 1.383 Å, rel. 42; 71.2°, 1.324 Å, rel. 12